No. 1
This entry pairs a crystal structure of BN with its computed XRD peak list. Radiation: Cu Kα X-rays. Structure: the PBE geometry in the Materials Project.
Lines closer than 0.1° are merged.

Top 10 peaks for 10° ≤ 2θ ≤ 90°, by intensity:
- hkl 0 2 0, 3.499 Å, 25.46 deg, intensity 100
- hkl 1 1 1, 2.077 Å, 43.58 deg, intensity 18
- hkl 0 4 0, 1.749 Å, 52.30 deg, intensity 8
- hkl 1 1 3, 1.237 Å, 77.14 deg, intensity 7
- hkl 1 3 1, 1.591 Å, 57.98 deg, intensity 6
- hkl 0 2 2, 1.848 Å, 49.31 deg, intensity 6
- hkl 0 0 2, 2.177 Å, 41.49 deg, intensity 6
- hkl 1 3 3, 1.106 Å, 88.37 deg, intensity 5
- hkl 2 2 0, 1.182 Å, 81.45 deg, intensity 3
- hkl 2 0 0, 1.255 Å, 75.77 deg, intensity 2

Structure:
a = 2.511 Å, b = 6.997 Å, c = 4.353 Å
α = 90.00°, β = 90.00°, γ = 90.00°
Space group Fmm2 (No. 42)
Asymmetric unit:
B (0.000, 0.000, 0.000) [4 per cell]
N (0.000, 0.000, 0.666) [4 per cell]

***

No. 2
This entry pairs a crystal structure of NdBN2 with its computed XRD peak list. Radiation: Cu Kα X-rays. Structure: the PBE geometry in the Materials Project.
Lines closer than 0.1° are merged.

Top 10 peaks for 10° ≤ 2θ ≤ 90°, by intensity:
- hkl 2 0 2, 2.918 Å, 30.64 deg, intensity 100
- hkl 1 3 1, 2.695 Å, 33.24 deg, intensity 78
- hkl 1 1 0, 6.077 Å, 14.58 deg, intensity 63
- hkl 2 2 0, 3.039 Å, 29.39 deg, intensity 50
- hkl 5 1 1, 1.825 Å, 49.96 deg, intensity 38
- hkl 2 1 1, 3.460 Å, 25.75 deg, intensity 29
- hkl 0 2 4, 1.664 Å, 55.21 deg, intensity 27
- hkl 4 1 3, 1.638 Å, 56.14 deg, intensity 27
- hkl 3 5 1, 1.470 Å, 63.25 deg, intensity 21
- hkl 3 1 2, 2.244 Å, 40.19 deg, intensity 20

Structure:
a = 12.1544 Å, b = 12.1544 Å, c = 7.0130 Å
α = 90.00°, β = 90.00°, γ = 120.00°
Space group R-3c (No. 167, hexagonal axes)
Asymmetric unit:
Nd (0.0000, 0.4544, 0.2500) [18 per cell]
B (0.0000, 0.1197, 0.2500) [18 per cell]
N (0.0000, 0.1224, 0.7500) [18 per cell]
N (0.0000, 0.2414, 0.2500) [18 per cell]

***

No. 3
This entry pairs a crystal structure of Sr7SiB3NO13 with its computed XRD peak list. Radiation: Cu Kα X-rays. Structure: the PBE geometry in the Materials Project.
Lines closer than 0.1° are merged.

Top 10 peaks for 10° ≤ 2θ ≤ 90°, by intensity:
- hkl 0 2 -2, 2.712 Å, 33.02 deg, intensity 100
- hkl 2 -2 0, 2.814 Å, 31.80 deg, intensity 68
- hkl 0 1 3, 3.551 Å, 25.08 deg, intensity 48
- hkl 1 2 -1, 3.165 Å, 28.20 deg, intensity 47
- hkl 0 4 2, 2.701 Å, 33.17 deg, intensity 47
- hkl 2 2 2, 2.827 Å, 31.65 deg, intensity 46
- hkl 1 3 0, 2.858 Å, 31.30 deg, intensity 39
- hkl 2 1 0, 3.301 Å, 27.01 deg, intensity 33
- hkl 1 1 3, 3.179 Å, 28.07 deg, intensity 31
- hkl 1 5 5, 1.813 Å, 50.33 deg, intensity 28

Structure:
a = 7.045 Å, b = 10.803 Å, c = 10.844 Å
α = 60.20°, β = 89.50°, γ = 89.72°
Space group P1 (No. 1)
Asymmetric unit:
Sr (0.000, 0.000, 0.000) [1 per cell]
Sr (0.000, 0.448, 0.977) [1 per cell]
Sr (0.002, 0.429, 0.548) [1 per cell]
Sr (0.185, 0.834, 0.374) [1 per cell]
Sr (0.187, 0.220, 0.376) [1 per cell]
Sr (0.192, 0.826, 0.769) [1 per cell]
Sr (0.364, 0.293, 0.840) [1 per cell]
Sr (0.500, 0.469, 0.041) [1 per cell]
Sr (0.501, 0.491, 0.465) [1 per cell]
Sr (0.501, 0.915, 0.015) [1 per cell]
Sr (0.663, 0.090, 0.236) [1 per cell]
Sr (0.676, 0.688, 0.647) [1 per cell]
Sr (0.687, 0.096, 0.641) [1 per cell]
Sr (0.862, 0.626, 0.174) [1 per cell]
Si (0.275, 0.625, 0.176) [1 per cell]
Si (0.775, 0.293, 0.840) [1 per cell]
B (0.205, 0.143, 0.139) [1 per cell]
B (0.208, 0.594, 0.689) [1 per cell]
B (0.210, 0.141, 0.692) [1 per cell]
B (0.709, 0.780, 0.326) [1 per cell]
B (0.711, 0.321, 0.329) [1 per cell]
B (0.714, 0.776, 0.871) [1 per cell]
N (0.318, 0.959, 0.501) [1 per cell]
N (0.916, 0.959, 0.504) [1 per cell]
O (0.009, 0.294, 0.840) [1 per cell]
O (0.031, 0.082, 0.199) [1 per cell]
O (0.038, 0.660, 0.687) [1 per cell]
O (0.046, 0.132, 0.627) [1 per cell]
O (0.194, 0.774, 0.163) [1 per cell]
O (0.195, 0.489, 0.325) [1 per cell]
O (0.195, 0.611, 0.041) [1 per cell]
O (0.258, 0.276, 0.118) [1 per cell]
O (0.260, 0.033, 0.827) [1 per cell]
O (0.260, 0.570, 0.579) [1 per cell]
O (0.328, 0.260, 0.622) [1 per cell]
O (0.329, 0.550, 0.805) [1 per cell]
O (0.331, 0.070, 0.097) [1 per cell]
O (0.509, 0.625, 0.175) [1 per cell]
O (0.554, 0.236, 0.350) [1 per cell]
O (0.555, 0.802, 0.392) [1 per cell]
O (0.558, 0.843, 0.787) [1 per cell]
O (0.689, 0.309, 0.974) [1 per cell]
O (0.692, 0.426, 0.691) [1 per cell]
O (0.694, 0.143, 0.856) [1 per cell]
O (0.754, 0.879, 0.186) [1 per cell]
O (0.759, 0.637, 0.907) [1 per cell]
O (0.763, 0.355, 0.432) [1 per cell]
O (0.818, 0.374, 0.204) [1 per cell]
O (0.818, 0.657, 0.398) [1 per cell]
O (0.825, 0.848, 0.921) [1 per cell]

***

No. 4
This entry pairs a crystal structure of Sr7SiB3NO13 with its computed XRD peak list. Radiation: Cu Kα X-rays. Structure: the PBE geometry in the Materials Project.
Lines closer than 0.1° are merged.

Top 10 peaks for 10° ≤ 2θ ≤ 90°, by intensity:
- hkl 2 2 0, 2.697 Å, 33.22 deg, intensity 100
- hkl 2 0 2, 2.812 Å, 31.82 deg, intensity 87
- hkl 1 2 1, 3.157 Å, 28.27 deg, intensity 70
- hkl 1 2 0, 3.530 Å, 25.23 deg, intensity 64
- hkl 3 2 2, 1.831 Å, 49.81 deg, intensity 46
- hkl 3 0 1, 2.848 Å, 31.41 deg, intensity 41
- hkl 1 0 2, 3.296 Å, 27.06 deg, intensity 39
- hkl 3 0 2, 2.333 Å, 38.59 deg, intensity 37
- hkl 3 0 3, 1.875 Å, 48.56 deg, intensity 34
- hkl 5 0 1, 1.806 Å, 50.54 deg, intensity 31

Structure:
a = 10.7870 Å, b = 10.7870 Å, c = 7.0439 Å
α = 90.00°, β = 90.00°, γ = 120.00°
Space group P6_3 (No. 173)
Asymmetric unit:
Sr (0.0425, 0.5181, 0.0000) [6 per cell]
Sr (0.1252, 0.8646, 0.3318) [6 per cell]
Sr (0.3333, 0.6667, 0.6365) [2 per cell]
Si (0.3333, 0.6667, 0.2260) [2 per cell]
B (0.1742, 0.8120, 0.7925) [6 per cell]
N (0.0000, 0.0000, 0.1278) [2 per cell]
O (0.0694, 0.6786, 0.7275) [6 per cell]
O (0.1103, 0.4090, 0.6862) [6 per cell]
O (0.1340, 0.2871, 0.9594) [6 per cell]
O (0.1833, 0.6511, 0.3087) [6 per cell]
O (0.3333, 0.6667, 0.9906) [2 per cell]

***

No. 5
This entry pairs a crystal structure of ScBN2 with its computed XRD peak list. Radiation: Cu Kα X-rays. Structure: the PBE geometry in the Materials Project.
Lines closer than 0.1° are merged.

Top 10 peaks for 10° ≤ 2θ ≤ 90°, by intensity:
- hkl 1 0 2, 2.501 Å, 35.91 deg, intensity 100
- hkl 0 0 2, 4.912 Å, 18.06 deg, intensity 73
- hkl 1 0 4, 1.876 Å, 48.54 deg, intensity 50
- hkl 1 1 0, 1.677 Å, 54.72 deg, intensity 34
- hkl 1 0 1, 2.786 Å, 32.13 deg, intensity 33
- hkl 1 0 0, 2.905 Å, 30.77 deg, intensity 25
- hkl 1 0 6, 1.426 Å, 65.43 deg, intensity 18
- hkl 1 1 2, 1.587 Å, 58.11 deg, intensity 16
- hkl 2 0 2, 1.393 Å, 67.20 deg, intensity 13
- hkl 2 0 4, 1.250 Å, 76.13 deg, intensity 11

Structure:
a = 3.3549 Å, b = 3.3549 Å, c = 9.8244 Å
α = 90.00°, β = 90.00°, γ = 120.00°
Space group P6_3/mmc (No. 194)
Asymmetric unit:
Sc (0.0000, 0.0000, 0.0000) [2 per cell]
B (0.3333, 0.6667, 0.2500) [2 per cell]
N (0.3333, 0.6667, 0.1137) [4 per cell]

***

No. 6
This entry pairs a crystal structure of SmBN2 with its computed XRD peak list. Radiation: Cu Kα X-rays. Structure: the PBE geometry in the Materials Project.
Lines closer than 0.1° are merged.

Top 10 peaks for 10° ≤ 2θ ≤ 90°, by intensity:
- hkl 2 0 2, 2.870 Å, 31.17 deg, intensity 100
- hkl 1 3 1, 2.666 Å, 33.61 deg, intensity 80
- hkl 1 1 0, 6.022 Å, 14.71 deg, intensity 67
- hkl 2 2 0, 3.011 Å, 29.67 deg, intensity 51
- hkl 5 1 1, 1.808 Å, 50.49 deg, intensity 39
- hkl 2 1 1, 3.420 Å, 26.06 deg, intensity 31
- hkl 4 1 3, 1.615 Å, 57.03 deg, intensity 27
- hkl 3 5 1, 1.456 Å, 63.92 deg, intensity 22
- hkl 3 3 3, 1.510 Å, 61.41 deg, intensity 20
- hkl 3 1 2, 2.213 Å, 40.77 deg, intensity 20

Structure:
a = 12.0449 Å, b = 12.0449 Å, c = 6.8731 Å
α = 90.00°, β = 90.00°, γ = 120.00°
Space group R-3c (No. 167, hexagonal axes)
Asymmetric unit:
Sm (0.0000, 0.4542, 0.2500) [18 per cell]
B (0.0000, 0.1205, 0.2500) [18 per cell]
N (0.0000, 0.1236, 0.7500) [18 per cell]
N (0.0000, 0.2431, 0.2500) [18 per cell]

***

No. 7
This entry pairs a crystal structure of SrB2N2 with its computed XRD peak list. Radiation: Cu Kα X-rays. Structure: the PBE geometry in the Materials Project.
Lines closer than 0.1° are merged.

Top 10 peaks for 10° ≤ 2θ ≤ 90°, by intensity:
- hkl 0 0 1, 6.585 Å, 13.45 deg, intensity 100
- hkl 1 1 -1, 3.225 Å, 27.66 deg, intensity 73
- hkl 1 1 -2, 2.524 Å, 35.57 deg, intensity 32
- hkl 2 0 0, 3.400 Å, 26.21 deg, intensity 30
- hkl 2 0 1, 2.815 Å, 31.79 deg, intensity 22
- hkl 1 1 1, 2.977 Å, 30.02 deg, intensity 21
- hkl 3 1 -1, 1.990 Å, 45.58 deg, intensity 20
- hkl 1 1 2, 2.292 Å, 39.31 deg, intensity 17
- hkl 0 0 2, 3.290 Å, 27.11 deg, intensity 17
- hkl 1 1 0, 3.504 Å, 25.42 deg, intensity 17

Structure:
a = 6.923 Å, b = 4.088 Å, c = 6.703 Å
α = 90.00°, β = 100.77°, γ = 90.00°
Space group C2/m (No. 12)
Asymmetric unit:
Sr (0.000, 0.000, 0.000) [2 per cell]
B (0.054, 0.500, 0.618) [4 per cell]
N (0.133, 0.500, 0.806) [4 per cell]

***

No. 8
This entry pairs a crystal structure of Ta2BN3 with its computed XRD peak list. Radiation: Cu Kα X-rays. Structure: the PBE geometry in the Materials Project.
Lines closer than 0.1° are merged.

Top 10 peaks for 10° ≤ 2θ ≤ 90°, by intensity:
- hkl 1 0 0, 4.711 Å, 18.84 deg, intensity 100
- hkl 1 1 0, 2.720 Å, 32.93 deg, intensity 92
- hkl 1 1 1, 1.956 Å, 46.42 deg, intensity 76
- hkl 1 0 1, 2.417 Å, 37.20 deg, intensity 32
- hkl 0 0 1, 2.816 Å, 31.78 deg, intensity 26
- hkl 3 0 1, 1.371 Å, 68.41 deg, intensity 24
- hkl 2 0 1, 1.807 Å, 50.52 deg, intensity 22
- hkl 3 0 0, 1.570 Å, 58.81 deg, intensity 18
- hkl 1 1 2, 1.250 Å, 76.13 deg, intensity 17
- hkl 2 1 1, 1.505 Å, 61.63 deg, intensity 15

Structure:
a = 5.4395 Å, b = 5.4395 Å, c = 2.8159 Å
α = 90.00°, β = 90.00°, γ = 120.00°
Space group P6/mmm (No. 191)
Asymmetric unit:
Ta (0.3333, 0.6667, 0.0000) [2 per cell]
B (0.0000, 0.0000, 0.5000) [1 per cell]
N (0.0000, 0.5000, 0.5000) [3 per cell]

***

No. 9
This entry pairs a crystal structure of Ti4B2N3 with its computed XRD peak list. Radiation: Cu Kα X-rays. Structure: the PBE geometry in the Materials Project.
Lines closer than 0.1° are merged.

Top 10 peaks for 10° ≤ 2θ ≤ 90°, by intensity:
- hkl 1 0 10, 2.159 Å, 41.84 deg, intensity 100
- hkl 0 1 5, 2.489 Å, 36.08 deg, intensity 49
- hkl 1 1 0, 1.523 Å, 60.80 deg, intensity 29
- hkl 0 1 20, 1.530 Å, 60.51 deg, intensity 26
- hkl 0 0 15, 2.504 Å, 35.86 deg, intensity 18
- hkl 0 0 9, 4.173 Å, 21.29 deg, intensity 16
- hkl 0 0 6, 6.260 Å, 14.15 deg, intensity 15
- hkl 0 2 10, 1.245 Å, 76.54 deg, intensity 13
- hkl 1 1 15, 1.301 Å, 72.65 deg, intensity 13
- hkl 1 0 7, 2.368 Å, 38.00 deg, intensity 8

Structure:
a = 3.0468 Å, b = 3.0468 Å, c = 37.5578 Å
α = 90.00°, β = 90.00°, γ = 120.00°
Space group R3m (No. 160, hexagonal axes)
Asymmetric unit:
Ti (0.0000, 0.0000, 0.0000) [3 per cell]
Ti (0.0000, 0.0000, 0.1984) [3 per cell]
Ti (0.0000, 0.0000, 0.4037) [3 per cell]
Ti (0.0000, 0.0000, 0.6018) [3 per cell]
B (0.0000, 0.0000, 0.1089) [3 per cell]
B (0.0000, 0.0000, 0.7034) [3 per cell]
N (0.0000, 0.0000, 0.3004) [3 per cell]
N (0.0000, 0.0000, 0.5103) [3 per cell]
N (0.0000, 0.0000, 0.9042) [3 per cell]

***

No. 10
This entry pairs a crystal structure of YBN2 with its computed XRD peak list. Radiation: Cu Kα X-rays. Structure: the PBE geometry in the Materials Project.
Lines closer than 0.1° are merged.

Top 10 peaks for 10° ≤ 2θ ≤ 90°, by intensity:
- hkl 1 0 1, 2.586 Å, 34.69 deg, intensity 100
- hkl 1 0 0, 3.070 Å, 29.08 deg, intensity 53
- hkl 0 0 1, 4.795 Å, 18.51 deg, intensity 52
- hkl 1 1 1, 1.978 Å, 45.88 deg, intensity 39
- hkl 1 0 2, 1.890 Å, 48.16 deg, intensity 28
- hkl 1 1 2, 1.609 Å, 57.25 deg, intensity 26
- hkl 2 1 1, 1.320 Å, 71.47 deg, intensity 22
- hkl 1 1 0, 2.171 Å, 41.60 deg, intensity 15
- hkl 0 0 2, 2.397 Å, 37.52 deg, intensity 14
- hkl 1 0 3, 1.418 Å, 65.89 deg, intensity 13

Structure:
a = 3.070 Å, b = 3.070 Å, c = 4.795 Å
α = 90.00°, β = 90.00°, γ = 90.00°
Space group P-4m2 (No. 115)
Asymmetric unit:
Y (0.000, 0.000, 0.000) [1 per cell]
B (0.500, 0.500, 0.500) [1 per cell]
N (0.000, 0.500, 0.330) [2 per cell]

***

No. 11
This entry pairs a crystal structure of Zr4BN3 with its computed XRD peak list. Radiation: Cu Kα X-rays. Structure: the PBE geometry in the Materials Project.
Lines closer than 0.1° are merged.

Top 6 peaks for 10° ≤ 2θ ≤ 90°, by intensity:
- hkl 1 1 1, 2.702 Å, 33.15 deg, intensity 100
- hkl 2 0 0, 2.340 Å, 38.47 deg, intensity 84
- hkl 2 2 0, 1.655 Å, 55.54 deg, intensity 54
- hkl 3 1 1, 1.411 Å, 66.23 deg, intensity 41
- hkl 2 2 2, 1.351 Å, 69.59 deg, intensity 17
- hkl 4 0 0, 1.170 Å, 82.43 deg, intensity 8

Structure:
a = 4.680 Å, b = 4.680 Å, c = 4.680 Å
α = 90.00°, β = 90.00°, γ = 90.00°
Space group Pm-3m (No. 221)
Asymmetric unit:
Zr (0.000, 0.000, 0.000) [1 per cell]
Zr (0.000, 0.500, 0.500) [3 per cell]
B (0.500, 0.500, 0.500) [1 per cell]
N (0.000, 0.000, 0.500) [3 per cell]

***

No. 12
This entry pairs a crystal structure of Zr2BN with its computed XRD peak list. Radiation: Cu Kα X-rays. Structure: the PBE geometry in the Materials Project.
Lines closer than 0.1° are merged.

Top 10 peaks for 10° ≤ 2θ ≤ 90°, by intensity:
- hkl 1 0 4, 2.379 Å, 37.82 deg, intensity 100
- hkl 0 1 2, 2.740 Å, 32.68 deg, intensity 94
- hkl 0 1 8, 1.689 Å, 54.32 deg, intensity 33
- hkl 1 1 0, 1.676 Å, 54.78 deg, intensity 32
- hkl 0 0 6, 2.769 Å, 32.33 deg, intensity 32
- hkl 1 1 6, 1.434 Å, 65.06 deg, intensity 26
- hkl 0 2 4, 1.370 Å, 68.49 deg, intensity 16
- hkl 1 0 10, 1.442 Å, 64.65 deg, intensity 13
- hkl 2 0 2, 1.430 Å, 65.27 deg, intensity 13
- hkl 2 0 8, 1.190 Å, 80.80 deg, intensity 10

Structure:
a = 3.3513 Å, b = 3.3513 Å, c = 16.6129 Å
α = 90.00°, β = 90.00°, γ = 120.00°
Space group R-3m (No. 166, hexagonal axes)
Asymmetric unit:
Zr (0.0000, 0.0000, 0.2476) [6 per cell]
B (0.0000, 0.0000, 0.0000) [3 per cell]
N (0.0000, 0.0000, 0.5000) [3 per cell]